Structure and calculated X-ray powder pattern of Ag2Hg7P8Br6 (a DFT-relaxed cell (GGA-PBE, Alexandria); copper Kα).
Kinematic intensities with the Lorentz-polarization factor, no thermal factor.

The 8 most intense peaks (10 to 90 degrees two-theta), in order of falling intensity:
2θ/deg  I/Imax
31.99  100
32.62  97
32.24  82
28.30  79
27.98  53
27.79  35
59.98  31
33.31  30

Structural model:
```
data_Ag2Hg7P8Br6
_chemical_formula_sum 'Ag4 Hg14 P16 Br12'
_symmetry_space_group_name_H-M 'C 1 2/m 1'
_symmetry_Int_Tables_number 12
_cell_length_a 13.0972
_cell_length_b 11.0890
_cell_length_c 8.2732
_cell_angle_alpha 90.00
_cell_angle_beta 101.54
_cell_angle_gamma 90.00
loop_
_symmetry_equiv_pos_as_xyz
'x,y,z'
'-x,-y,-z'
'-x,y,-z'
'x,-y,z'
'x+1/2,y+1/2,z'
'-x+1/2,-y+1/2,-z'
'-x+1/2,y+1/2,-z'
'x+1/2,-y+1/2,z'
loop_
_atom_site_label
_atom_site_type_symbol
_atom_site_fract_x
_atom_site_fract_y
_atom_site_fract_z
_atom_site_occupancy
Ag1 Ag 0.2500 0.2500 0.0000 1
Hg1 Hg 0.0000 0.0000 0.5000 1
Hg2 Hg 0.0486 0.3171 0.2652 1
Hg3 Hg 0.2262 0.5000 0.6356 1
P1 P 0.0628 0.5000 0.4329 1
P2 P 0.0807 0.1569 0.0760 1
P3 P 0.0862 0.0000 0.2444 1
Br1 Br 0.1463 0.5000 0.9568 1
Br2 Br 0.1563 0.2066 0.6505 1
```

=====

Structure and calculated X-ray powder pattern of Pr2SmZn2Ga2 (a DFT-relaxed cell (GGA-PBE, Alexandria); copper Kα).
Kinematic intensities with the Lorentz-polarization factor, no thermal factor.

The 8 most intense peaks (10 to 90 degrees two-theta), in order of falling intensity:
2θ/deg  I/Imax
33.74  100
40.07  89
31.49  72
23.02  35
63.36  34
53.35  27
68.77  25
51.83  18

Structural model:
```
data_Pr2SmZn2Ga2
_chemical_formula_sum 'Pr6 Sm3 Zn6 Ga6'
_symmetry_space_group_name_H-M 'R -3 m'
_symmetry_Int_Tables_number 166
_symmetry_space_group_name_Hall '-R 3 2"'
_cell_length_a 4.5008
_cell_length_b 4.5008
_cell_length_c 29.0478
_cell_angle_alpha 90.00
_cell_angle_beta 90.00
_cell_angle_gamma 120.00
loop_
_atom_site_label
_atom_site_type_symbol
_atom_site_fract_x
_atom_site_fract_y
_atom_site_fract_z
_atom_site_occupancy
Pr1 Pr 0.0000 0.0000 0.1255 1
Sm1 Sm 0.0000 0.0000 0.0000 1
Zn1 Zn 0.0000 0.0000 0.3941 1
Ga1 Ga 0.0000 0.0000 0.2684 1
```

=====

Structure and calculated X-ray powder pattern of FeHgBr4 (a DFT-relaxed cell (GGA-PBE, Alexandria); copper Kα).
Kinematic intensities with the Lorentz-polarization factor, no thermal factor.

The 8 most intense peaks (10 to 90 degrees two-theta), in order of falling intensity:
2θ/deg  I/Imax
25.56  100
43.08  46
14.17  37
21.16  36
48.80  30
40.84  26
35.82  20
16.19  16

Structural model:
```
data_FeHgBr4
_chemical_formula_sum 'Fe2 Hg2 Br8'
_symmetry_space_group_name_H-M 'P -4 2 c'
_symmetry_Int_Tables_number 112
_cell_length_a 6.2501
_cell_length_b 6.2501
_cell_length_c 11.3389
_cell_angle_alpha 90.00
_cell_angle_beta 90.00
_cell_angle_gamma 90.00
loop_
_symmetry_equiv_pos_as_xyz
'x,y,z'
'y,-x,-z'
'-x,-y,z'
'-y,x,-z'
'x,-y,-z+1/2'
'y,x,z+1/2'
'-x,y,-z+1/2'
'-y,-x,z+1/2'
loop_
_atom_site_label
_atom_site_type_symbol
_atom_site_fract_x
_atom_site_fract_y
_atom_site_fract_z
_atom_site_occupancy
Fe1 Fe 0.0000 0.5000 0.2500 1
Hg1 Hg 0.0000 0.0000 0.0000 1
Br1 Br 0.2341 0.2799 0.3683 1
```

=====

Structure and calculated X-ray powder pattern of MnAg3 (a DFT-relaxed cell (GGA-PBE, Alexandria); copper Kα).
Kinematic intensities with the Lorentz-polarization factor, no thermal factor.

The 8 most intense peaks (10 to 90 degrees two-theta), in order of falling intensity:
2θ/deg  I/Imax
40.59  100
40.74  53
38.03  41
70.48  27
35.66  27
77.19  19
64.27  16
53.12  16

Structural model:
```
data_MnAg3
_chemical_formula_sum 'Mn2 Ag6'
_symmetry_space_group_name_H-M 'P m m n'
_symmetry_Int_Tables_number 59
_cell_length_a 4.7318
_cell_length_b 5.8224
_cell_length_c 5.0132
_cell_angle_alpha 90.00
_cell_angle_beta 90.00
_cell_angle_gamma 90.00
loop_
_symmetry_equiv_pos_as_xyz
'x,y,z'
'-x,-y,-z'
'-x+1/2,-y+1/2,z'
'x+1/2,y+1/2,-z'
'x+1/2,-y,-z'
'-x+1/2,y,z'
'-x,y+1/2,-z'
'x,-y+1/2,z'
loop_
_atom_site_label
_atom_site_type_symbol
_atom_site_fract_x
_atom_site_fract_y
_atom_site_fract_z
_atom_site_occupancy
Mn1 Mn 0.2500 0.2500 0.1620 1
Ag1 Ag 0.2500 0.9998 0.6657 1
Ag2 Ag 0.2500 0.7500 0.1590 1
```

=====

Structure and calculated X-ray powder pattern of CaYSe2F (a DFT-relaxed cell (GGA-PBE, Alexandria); copper Kα).
Kinematic intensities with the Lorentz-polarization factor, no thermal factor.

The 8 most intense peaks (10 to 90 degrees two-theta), in order of falling intensity:
2θ/deg  I/Imax
31.48  100
45.12  47
40.46  45
22.98  33
28.99  30
38.49  28
24.76  26
31.09  25

Structural model:
```
data_CaYSe2F
_chemical_formula_sum 'Ca2 Y2 Se4 F2'
_symmetry_space_group_name_H-M 'P 4/n m m'
_symmetry_Int_Tables_number 129
_cell_length_a 4.0190
_cell_length_b 4.0190
_cell_length_c 14.3827
_cell_angle_alpha 90.00
_cell_angle_beta 90.00
_cell_angle_gamma 90.00
loop_
_symmetry_equiv_pos_as_xyz
'x,y,z'
'-x,-y,-z'
'-y+1/2,x,z'
'y+1/2,-x,-z'
'-x+1/2,-y+1/2,z'
'x+1/2,y+1/2,-z'
'y,-x+1/2,z'
'-y,x+1/2,-z'
'x+1/2,-y,-z'
'-x+1/2,y,z'
'-y,-x,-z'
'y,x,z'
'-x,y+1/2,-z'
'x,-y+1/2,z'
'y+1/2,x+1/2,-z'
'-y+1/2,-x+1/2,z'
loop_
_atom_site_label
_atom_site_type_symbol
_atom_site_fract_x
_atom_site_fract_y
_atom_site_fract_z
_atom_site_occupancy
Ca1 Ca 0.2500 0.2500 0.0900 1
Y1 Y 0.2500 0.2500 0.6279 1
Se1 Se 0.2500 0.2500 0.4102 1
Se2 Se 0.2500 0.2500 0.8106 1
F1 F 0.2500 0.7500 0.0000 1
```

=====

Structure and calculated X-ray powder pattern of KCd3H8Cl7O4 (a DFT-relaxed cell (GGA-PBE, Alexandria); copper Kα).
Kinematic intensities with the Lorentz-polarization factor, no thermal factor.

The 8 most intense peaks (10 to 90 degrees two-theta), in order of falling intensity:
2θ/deg  I/Imax
11.93  100
11.05  57
13.15  52
30.88  45
37.61  43
16.29  42
25.81  39
29.64  36

Structural model:
```
data_KCd3H8Cl7O4
_chemical_formula_sum 'K2 Cd6 H16 Cl14 O8'
_symmetry_space_group_name_H-M 'P 1 21/m 1'
_symmetry_Int_Tables_number 11
_cell_length_a 6.8739
_cell_length_b 16.0085
_cell_length_c 7.4737
_cell_angle_alpha 90.00
_cell_angle_beta 96.98
_cell_angle_gamma 90.00
loop_
_symmetry_equiv_pos_as_xyz
'x,y,z'
'-x,-y,-z'
'-x,y+1/2,-z'
'x,-y+1/2,z'
loop_
_atom_site_label
_atom_site_type_symbol
_atom_site_fract_x
_atom_site_fract_y
_atom_site_fract_z
_atom_site_occupancy
K1 K 0.0021 0.2500 0.1561 1
Cd1 Cd 0.0000 0.0000 0.5000 1
Cd2 Cd 0.4798 0.0962 0.3327 1
H1 H 0.1950 0.7011 0.2703 1
H2 H 0.2614 0.0731 0.9817 1
H3 H 0.3451 0.2500 0.7411 1
H4 H 0.3514 0.1647 0.9774 1
H5 H 0.4398 0.7500 0.1562 1
Cl1 Cl 0.1810 0.1425 0.5038 1
Cl2 Cl 0.2143 0.5425 0.8119 1
Cl3 Cl 0.3099 0.5589 0.3437 1
Cl4 Cl 0.3820 0.7500 0.6573 1
O1 O 0.2003 0.7500 0.1918 1
O2 O 0.2891 0.1240 0.0553 1
O3 O 0.4180 0.2500 0.8624 1
```

=====

Structure and calculated X-ray powder pattern of PaZn2Pd8 (a DFT-relaxed cell (GGA-PBE, Alexandria); copper Kα).
Kinematic intensities with the Lorentz-polarization factor, no thermal factor.

The 8 most intense peaks (10 to 90 degrees two-theta), in order of falling intensity:
2θ/deg  I/Imax
38.88  100
39.24  96
43.20  38
44.10  34
48.77  24
63.45  23
67.17  18
76.33  13

Structural model:
```
data_PaZn2Pd8
_chemical_formula_sum 'Pa2 Zn4 Pd16'
_symmetry_space_group_name_H-M 'C 1 2/m 1'
_symmetry_Int_Tables_number 12
_cell_length_a 13.9767
_cell_length_b 4.1879
_cell_length_c 6.4149
_cell_angle_alpha 90.00
_cell_angle_beta 109.80
_cell_angle_gamma 90.00
loop_
_symmetry_equiv_pos_as_xyz
'x,y,z'
'-x,-y,-z'
'-x,y,-z'
'x,-y,z'
'x+1/2,y+1/2,z'
'-x+1/2,-y+1/2,-z'
'-x+1/2,y+1/2,-z'
'x+1/2,-y+1/2,z'
loop_
_atom_site_label
_atom_site_type_symbol
_atom_site_fract_x
_atom_site_fract_y
_atom_site_fract_z
_atom_site_occupancy
Pa1 Pa 0.0000 0.0000 0.0000 1
Zn1 Zn 0.2191 0.5000 0.6495 1
Pd1 Pd 0.0432 0.5000 0.7298 1
Pd2 Pd 0.1004 0.0000 0.4622 1
Pd3 Pd 0.1486 0.5000 0.2102 1
Pd4 Pd 0.1806 0.0000 0.9288 1
```

=====

Structure and calculated X-ray powder pattern of Tb3Pr2Ho3 (a DFT-relaxed cell (GGA-PBE, Alexandria); copper Kα).
Kinematic intensities with the Lorentz-polarization factor, no thermal factor.

The 8 most intense peaks (10 to 90 degrees two-theta), in order of falling intensity:
2θ/deg  I/Imax
32.61  100
29.66  46
30.90  35
60.55  31
50.68  26
37.06  26
56.05  21
61.57  16

Structural model:
```
data_Tb3Pr2Ho3
_chemical_formula_sum 'Tb6 Pr4 Ho6'
_symmetry_space_group_name_H-M 'C 1 2/m 1'
_symmetry_Int_Tables_number 12
_cell_length_a 23.9688
_cell_length_b 3.6038
_cell_length_c 6.2371
_cell_angle_alpha 90.00
_cell_angle_beta 105.04
_cell_angle_gamma 90.00
loop_
_symmetry_equiv_pos_as_xyz
'x,y,z'
'-x,-y,-z'
'-x,y,-z'
'x,-y,z'
'x+1/2,y+1/2,z'
'-x+1/2,-y+1/2,-z'
'-x+1/2,y+1/2,-z'
'x+1/2,-y+1/2,z'
loop_
_atom_site_label
_atom_site_type_symbol
_atom_site_fract_x
_atom_site_fract_y
_atom_site_fract_z
_atom_site_occupancy
Tb1 Tb 0.0000 0.0000 0.0000 1
Tb2 Tb 0.1231 0.0000 0.7899 1
Pr1 Pr 0.2498 0.0000 0.2502 1
Ho1 Ho 0.0000 0.5000 0.5000 1
Ho2 Ho 0.1230 0.5000 0.2902 1
```

=====

Structure and calculated X-ray powder pattern of Tl3ZnHg6 (a DFT-relaxed cell (GGA-PBE, Alexandria); copper Kα).
Kinematic intensities with the Lorentz-polarization factor, no thermal factor.

The 8 most intense peaks (10 to 90 degrees two-theta), in order of falling intensity:
2θ/deg  I/Imax
33.99  100
33.75  99
33.39  58
32.33  53
47.16  38
60.07  20
59.91  19
61.56  16

Structural model:
```
data_Tl3ZnHg6
_chemical_formula_sum 'Tl6 Zn2 Hg12'
_symmetry_space_group_name_H-M 'P 1 21/m 1'
_symmetry_Int_Tables_number 11
_cell_length_a 9.1053
_cell_length_b 5.3667
_cell_length_c 11.6939
_cell_angle_alpha 90.00
_cell_angle_beta 108.76
_cell_angle_gamma 90.00
loop_
_symmetry_equiv_pos_as_xyz
'x,y,z'
'-x,-y,-z'
'-x,y+1/2,-z'
'x,-y+1/2,z'
loop_
_atom_site_label
_atom_site_type_symbol
_atom_site_fract_x
_atom_site_fract_y
_atom_site_fract_z
_atom_site_occupancy
Tl1 Tl 0.0486 0.2500 0.3990 1
Tl2 Tl 0.1467 0.7500 0.2166 1
Tl3 Tl 0.2746 0.2500 0.0040 1
Zn1 Zn 0.4535 0.2500 0.5903 1
Hg1 Hg 0.0481 0.7500 0.9090 1
Hg2 Hg 0.1767 0.2500 0.6917 1
Hg3 Hg 0.2787 0.7500 0.5149 1
Hg4 Hg 0.3442 0.7500 0.8133 1
Hg5 Hg 0.3718 0.2500 0.3182 1
Hg6 Hg 0.4554 0.7500 0.1355 1
```

=====

Structure and calculated X-ray powder pattern of Tb3Ir2Pd (a DFT-relaxed cell (GGA-PBE, Alexandria); copper Kα).
Kinematic intensities with the Lorentz-polarization factor, no thermal factor.

The 8 most intense peaks (10 to 90 degrees two-theta), in order of falling intensity:
2θ/deg  I/Imax
36.61  100
66.02  28
36.73  20
65.81  14
52.88  14
89.44  10
77.79  9
52.55  7

Structural model:
```
data_Tb3Ir2Pd
_chemical_formula_sum 'Tb6 Ir4 Pd2'
_symmetry_space_group_name_H-M 'C m m m'
_symmetry_Int_Tables_number 65
_symmetry_space_group_name_Hall '-C 2 2'
_cell_length_a 4.9008
_cell_length_b 14.6803
_cell_length_c 3.4829
_cell_angle_alpha 90.00
_cell_angle_beta 90.00
_cell_angle_gamma 90.00
loop_
_atom_site_label
_atom_site_type_symbol
_atom_site_fract_x
_atom_site_fract_y
_atom_site_fract_z
_atom_site_occupancy
Tb1 Tb 0.0000 0.0000 0.0000 1
Tb2 Tb 0.0000 0.3290 0.0000 1
Ir1 Ir 0.0000 0.1645 0.5000 1
Pd1 Pd 0.0000 0.5000 0.5000 1
```

=====

Structure and calculated X-ray powder pattern of Tb4HoN4 (a DFT-relaxed cell (GGA-PBE, Alexandria); copper Kα).
Kinematic intensities with the Lorentz-polarization factor, no thermal factor.

The 8 most intense peaks (10 to 90 degrees two-theta), in order of falling intensity:
2θ/deg  I/Imax
31.25  100
36.24  67
52.19  45
62.10  42
88.14  20
85.36  17
65.20  15
76.94  7

Structural model:
```
data_Tb4HoN4
_chemical_formula_sum 'Tb8 Ho2 N8'
_symmetry_space_group_name_H-M 'I 4/m'
_symmetry_Int_Tables_number 87
_symmetry_space_group_name_Hall '-I 4'
_cell_length_a 7.8406
_cell_length_b 7.8406
_cell_length_c 4.9535
_cell_angle_alpha 90.00
_cell_angle_beta 90.00
_cell_angle_gamma 90.00
loop_
_atom_site_label
_atom_site_type_symbol
_atom_site_fract_x
_atom_site_fract_y
_atom_site_fract_z
_atom_site_occupancy
Tb1 Tb 0.1093 0.3116 0.0000 1
Ho1 Ho 0.0000 0.0000 0.5000 1
N1 N 0.0974 0.2958 0.5000 1
```

=====

Structure and calculated X-ray powder pattern of SnPb4Au3 (a DFT-relaxed cell (GGA-PBE, Alexandria); copper Kα).
Kinematic intensities with the Lorentz-polarization factor, no thermal factor.

The 8 most intense peaks (10 to 90 degrees two-theta), in order of falling intensity:
2θ/deg  I/Imax
42.05  100
38.15  98
28.85  89
29.97  84
27.63  71
38.63  56
40.36  48
25.66  37

Structural model:
```
data_SnPb4Au3
_chemical_formula_sum 'Sn4 Pb16 Au12'
_symmetry_space_group_name_H-M 'C 1 c 1'
_symmetry_Int_Tables_number 9
_cell_length_a 12.4446
_cell_length_b 7.6678
_cell_length_c 10.1782
_cell_angle_alpha 90.00
_cell_angle_beta 110.20
_cell_angle_gamma 90.00
loop_
_symmetry_equiv_pos_as_xyz
'x,y,z'
'x,-y,z+1/2'
'x+1/2,y+1/2,z'
'x+1/2,-y+1/2,z+1/2'
loop_
_atom_site_label
_atom_site_type_symbol
_atom_site_fract_x
_atom_site_fract_y
_atom_site_fract_z
_atom_site_occupancy
Sn1 Sn 0.0000 0.2000 0.0000 1
Pb1 Pb 0.0867 0.3222 0.7591 1
Pb2 Pb 0.1627 0.1854 0.4068 1
Pb3 Pb 0.2936 0.3172 0.1327 1
Pb4 Pb 0.3965 0.1807 0.8432 1
Au1 Au 0.1768 0.0107 0.6706 1
Au2 Au 0.2999 0.4879 0.3907 1
Au3 Au 0.3905 0.0272 0.5776 1
```

=====

Copy entry 3 word for word.
Structure and calculated X-ray powder pattern of FeHgBr4 (a DFT-relaxed cell (GGA-PBE, Alexandria); copper Kα).
Kinematic intensities with the Lorentz-polarization factor, no thermal factor.

The 8 most intense peaks (10 to 90 degrees two-theta), in order of falling intensity:
2θ/deg  I/Imax
25.56  100
43.08  46
14.17  37
21.16  36
48.80  30
40.84  26
35.82  20
16.19  16

Structural model:
```
data_FeHgBr4
_chemical_formula_sum 'Fe2 Hg2 Br8'
_symmetry_space_group_name_H-M 'P -4 2 c'
_symmetry_Int_Tables_number 112
_cell_length_a 6.2501
_cell_length_b 6.2501
_cell_length_c 11.3389
_cell_angle_alpha 90.00
_cell_angle_beta 90.00
_cell_angle_gamma 90.00
loop_
_symmetry_equiv_pos_as_xyz
'x,y,z'
'y,-x,-z'
'-x,-y,z'
'-y,x,-z'
'x,-y,-z+1/2'
'y,x,z+1/2'
'-x,y,-z+1/2'
'-y,-x,z+1/2'
loop_
_atom_site_label
_atom_site_type_symbol
_atom_site_fract_x
_atom_site_fract_y
_atom_site_fract_z
_atom_site_occupancy
Fe1 Fe 0.0000 0.5000 0.2500 1
Hg1 Hg 0.0000 0.0000 0.0000 1
Br1 Br 0.2341 0.2799 0.3683 1
```

=====

Please write out number 7 again, unchanged.
Structure and calculated X-ray powder pattern of PaZn2Pd8 (a DFT-relaxed cell (GGA-PBE, Alexandria); copper Kα).
Kinematic intensities with the Lorentz-polarization factor, no thermal factor.

The 8 most intense peaks (10 to 90 degrees two-theta), in order of falling intensity:
2θ/deg  I/Imax
38.88  100
39.24  96
43.20  38
44.10  34
48.77  24
63.45  23
67.17  18
76.33  13

Structural model:
```
data_PaZn2Pd8
_chemical_formula_sum 'Pa2 Zn4 Pd16'
_symmetry_space_group_name_H-M 'C 1 2/m 1'
_symmetry_Int_Tables_number 12
_cell_length_a 13.9767
_cell_length_b 4.1879
_cell_length_c 6.4149
_cell_angle_alpha 90.00
_cell_angle_beta 109.80
_cell_angle_gamma 90.00
loop_
_symmetry_equiv_pos_as_xyz
'x,y,z'
'-x,-y,-z'
'-x,y,-z'
'x,-y,z'
'x+1/2,y+1/2,z'
'-x+1/2,-y+1/2,-z'
'-x+1/2,y+1/2,-z'
'x+1/2,-y+1/2,z'
loop_
_atom_site_label
_atom_site_type_symbol
_atom_site_fract_x
_atom_site_fract_y
_atom_site_fract_z
_atom_site_occupancy
Pa1 Pa 0.0000 0.0000 0.0000 1
Zn1 Zn 0.2191 0.5000 0.6495 1
Pd1 Pd 0.0432 0.5000 0.7298 1
Pd2 Pd 0.1004 0.0000 0.4622 1
Pd3 Pd 0.1486 0.5000 0.2102 1
Pd4 Pd 0.1806 0.0000 0.9288 1
```

=====

Repeat the ninth record exactly.
Structure and calculated X-ray powder pattern of Tl3ZnHg6 (a DFT-relaxed cell (GGA-PBE, Alexandria); copper Kα).
Kinematic intensities with the Lorentz-polarization factor, no thermal factor.

The 8 most intense peaks (10 to 90 degrees two-theta), in order of falling intensity:
2θ/deg  I/Imax
33.99  100
33.75  99
33.39  58
32.33  53
47.16  38
60.07  20
59.91  19
61.56  16

Structural model:
```
data_Tl3ZnHg6
_chemical_formula_sum 'Tl6 Zn2 Hg12'
_symmetry_space_group_name_H-M 'P 1 21/m 1'
_symmetry_Int_Tables_number 11
_cell_length_a 9.1053
_cell_length_b 5.3667
_cell_length_c 11.6939
_cell_angle_alpha 90.00
_cell_angle_beta 108.76
_cell_angle_gamma 90.00
loop_
_symmetry_equiv_pos_as_xyz
'x,y,z'
'-x,-y,-z'
'-x,y+1/2,-z'
'x,-y+1/2,z'
loop_
_atom_site_label
_atom_site_type_symbol
_atom_site_fract_x
_atom_site_fract_y
_atom_site_fract_z
_atom_site_occupancy
Tl1 Tl 0.0486 0.2500 0.3990 1
Tl2 Tl 0.1467 0.7500 0.2166 1
Tl3 Tl 0.2746 0.2500 0.0040 1
Zn1 Zn 0.4535 0.2500 0.5903 1
Hg1 Hg 0.0481 0.7500 0.9090 1
Hg2 Hg 0.1767 0.2500 0.6917 1
Hg3 Hg 0.2787 0.7500 0.5149 1
Hg4 Hg 0.3442 0.7500 0.8133 1
Hg5 Hg 0.3718 0.2500 0.3182 1
Hg6 Hg 0.4554 0.7500 0.1355 1
```